Simulated X-ray diffraction stick pattern
Compound: B2Mo2Ru
Radiation: a wavelength of 1.5418 Å
Structure: a cell relaxed with GGA-PBE
Kinematic intensities with the Lorentz-polarization factor, no thermal factor.

Structure:
abc: 5.889 5.889 6.461
angles: 90.00 90.00 90.00
Space group P4/mnc (No. 128)
Inequivalent atoms, fractional coordinates:
B 0.112 0.388 0.250 (multiplicity 8)
Mo 0.158 0.691 0.000 (multiplicity 8)
Ru 0.000 0.000 0.288 (multiplicity 4)

Peak list (10 most intense, 5° ≤ 2θ ≤ 70°, in order of rising 2θ)
h k l, 2θ (°), intensity
1 1 0, 21.34, 20
2 1 0, 34.04, 69
1 1 2, 35.16, 56
2 1 1, 36.85, 17
2 0 2, 41.50, 100
2 2 0, 43.46, 27
2 1 2, 44.38, 85
3 1 0, 48.91, 53
0 0 4, 57.02, 17
2 1 4, 68.10, 18